[1]
Simulated PXRD pattern
Compound: Na2Ac2BiO6
Radiation: Cu Kα, 1.54184 Å
Structure: the GGA-PBE geometry in Alexandria

Atomic structure:
Unit cell a=6.4840 b=6.4840 c=5.9624 alpha=96.75 beta=96.75 gamma=120.35
Fractional coordinates of all 11 atoms:
Na: 0.1358 0.8642 0.0000
Na: 0.8642 0.1358 0.0000
Ac: 0.3367 0.6633 0.5000
Ac: 0.6633 0.3367 0.5000
Bi: 0.0000 0.0000 0.5000
O: 0.0306 0.3535 0.6981
O: 0.2399 0.2399 0.2811
O: 0.3535 0.0306 0.6981
O: 0.6465 0.9694 0.3019
O: 0.7601 0.7601 0.7189
O: 0.9694 0.6465 0.3019

Main lines, in order of rising 2θ (2θ = 10–80°):
Position (°2θ)  intensity
15.29  100
27.72  43
28.49  22
29.02  21
30.09  35
30.87  18
33.45  47
36.95  19
39.24  17
49.17  21



[2]
Simulated PXRD pattern
Compound: Ac2NdBi3
Radiation: Cu Kα, 1.54184 Å
Structure: the GGA-PBE geometry in Alexandria

Atomic structure:
Unit cell a=15.8898 b=15.1489 c=8.3016 alpha=79.48 beta=69.61 gamma=30.91
Fractional coordinates of all 24 atoms:
Ac: 0.0426 0.0426 0.2074
Ac: 0.1238 0.1238 0.6262
Ac: 0.2074 0.2074 0.0426
Ac: 0.3738 0.3738 0.8762
Ac: 0.6262 0.6262 0.1238
Ac: 0.7926 0.7926 0.9574
Ac: 0.8762 0.8762 0.3738
Ac: 0.9574 0.9574 0.7926
Nd: 0.2914 0.2914 0.4586
Nd: 0.4586 0.4586 0.2914
Nd: 0.5414 0.5414 0.7086
Nd: 0.7086 0.7086 0.5414
Bi: 0.0390 0.5405 0.2209
Bi: 0.1362 0.6138 0.6138
Bi: 0.2209 0.6996 0.0390
Bi: 0.3004 0.7791 0.4595
Bi: 0.3862 0.8638 0.8638
Bi: 0.4595 0.9610 0.3004
Bi: 0.5405 0.0390 0.6996
Bi: 0.6138 0.1362 0.1362
Bi: 0.6996 0.2209 0.5405
Bi: 0.7791 0.3004 0.9610
Bi: 0.8638 0.3862 0.3862
Bi: 0.9610 0.4595 0.7791

Main lines, in order of rising 2θ (2θ = 10–80°):
Position (°2θ)  intensity
26.30  100
28.88  1
30.87  1
34.52  1
37.54  80
46.42  29
50.65  1
54.13  14
61.16  39
67.74  29



[3]
Simulated PXRD pattern
Compound: AcNd2Bi2
Radiation: Cu Kα, 1.54184 Å
Structure: the GGA-PBE geometry in Alexandria

Atomic structure:
Unit cell a=8.5023 b=8.4960 c=4.7560 alpha=73.83 beta=73.68 gamma=32.50
Fractional coordinates of all 5 atoms:
Ac: 0.0000 0.0000 0.0000
Nd: 0.2500 0.2500 0.2500
Nd: 0.7500 0.7500 0.7500
Bi: 0.3961 0.3961 0.6039
Bi: 0.6039 0.6039 0.3961

Main lines, in order of rising 2θ (2θ = 10–80°):
Position (°2θ)  intensity
25.37  76
28.85  75
28.97  75
34.36  100
35.23  43
37.83  83
51.95  32
52.10  42
61.47  24
65.97  32



[4]
Simulated PXRD pattern
Compound: AcNd4Bi2
Radiation: Cu Kα, 1.54184 Å
Structure: the GGA-PBE geometry in Alexandria

Atomic structure:
Unit cell a=9.3015 b=9.3015 c=9.3015 alpha=142.85 beta=142.85 gamma=53.55
Fractional coordinates of all 7 atoms:
Ac: 0.0000 0.0000 0.0000
Nd: 0.0000 0.5000 0.5000
Nd: 0.1887 0.1887 0.0000
Nd: 0.5000 0.0000 0.5000
Nd: 0.8113 0.8113 0.0000
Bi: 0.3751 0.3751 0.0000
Bi: 0.6249 0.6249 0.0000

Main lines, in order of rising 2θ (2θ = 10–80°):
Position (°2θ)  intensity
10.65  34
21.20  64
30.16  100
30.31  30
30.86  79
43.18  38
43.70  62
44.81  23
53.98  28
63.10  28



[5]
Simulated PXRD pattern
Compound: AcNdBi2O8
Radiation: Cu Kα, 1.54184 Å
Structure: the GGA-PBE geometry in Alexandria

Atomic structure:
Unit cell a=7.1384 b=7.1384 c=7.1384 alpha=133.65 beta=133.65 gamma=67.64
Fractional coordinates of all 12 atoms:
Ac: 0.0000 0.0000 0.0000
Nd: 0.2500 0.7500 0.5000
Bi: 0.5000 0.5000 0.0000
Bi: 0.7500 0.2500 0.5000
O: 0.0350 0.0934 0.4485
O: 0.2270 0.6571 0.0734
O: 0.3429 0.4163 0.5699
O: 0.4135 0.9650 0.0584
O: 0.5837 0.1536 0.9266
O: 0.6449 0.5865 0.5515
O: 0.8464 0.7730 0.4301
O: 0.9066 0.3551 0.9416

Main lines, in order of rising 2θ (2θ = 10–80°):
Position (°2θ)  intensity
27.01  100
30.14  15
31.85  24
44.42  32
45.67  15
51.64  17
53.86  31
55.69  12
71.38  14
72.02  7



[6]
Simulated PXRD pattern
Compound: Ac2PmNdBi4
Radiation: Cu Kα, 1.54184 Å
Structure: the GGA-PBE geometry in Alexandria

Atomic structure:
Unit cell a=8.2025 b=4.7391 c=8.2106 alpha=90.00 beta=109.44 gamma=90.00
Fractional coordinates of all 8 atoms:
Ac: 0.0000 0.0000 0.0000
Ac: 0.5000 0.5000 0.0000
Pm: 0.0000 0.5000 0.5000
Nd: 0.5000 0.0000 0.5000
Bi: 0.2440 0.0000 0.7343
Bi: 0.2541 0.5000 0.2651
Bi: 0.7459 0.5000 0.7349
Bi: 0.7560 0.0000 0.2657

Main lines, in order of rising 2θ (2θ = 10–80°):
Position (°2θ)  intensity
22.00  2
26.60  100
29.04  3
37.98  79
46.97  29
52.43  2
54.79  14
56.15  1
61.92  38
68.60  28



[7]
Simulated PXRD pattern
Compound: AcNdTh2Bi4
Radiation: Cu Kα, 1.54184 Å
Structure: the GGA-PBE geometry in Alexandria

Atomic structure:
Unit cell a=8.0806 b=8.0806 c=8.0806 alpha=131.78 beta=131.78 gamma=70.58
Fractional coordinates of all 8 atoms:
Ac: 0.0000 0.0000 0.0000
Nd: 0.2500 0.7500 0.5000
Th: 0.5000 0.5000 0.0000
Th: 0.7500 0.2500 0.5000
Bi: 0.2555 0.2555 0.0000
Bi: 0.5012 0.0012 0.5000
Bi: 0.7445 0.7445 0.0000
Bi: 0.9988 0.4988 0.5000

Main lines, in order of rising 2θ (2θ = 10–80°):
Position (°2θ)  intensity
15.01  1
27.02  100
36.67  1
38.58  80
47.74  29
55.71  14
62.98  39
69.81  29



[8]
Simulated PXRD pattern
Compound: Ac2BiO6
Radiation: Cu Kα, 1.54184 Å
Structure: the GGA-PBE geometry in Alexandria

Atomic structure:
Unit cell a=6.0330 b=6.5586 c=9.7307 alpha=90.00 beta=120.68 gamma=90.00
Fractional coordinates of all 18 atoms:
Ac: 0.2023 0.0803 0.2424
Ac: 0.2023 0.4197 0.7424
Ac: 0.7977 0.5803 0.2576
Ac: 0.7977 0.9197 0.7576
Bi: 0.5000 0.0000 0.0000
Bi: 0.5000 0.5000 0.5000
O: 0.1572 0.1573 0.9484
O: 0.1572 0.3427 0.4484
O: 0.2608 0.7298 0.9084
O: 0.2608 0.7702 0.4084
O: 0.4332 0.0835 0.7727
O: 0.4332 0.4165 0.2727
O: 0.5668 0.5835 0.7273
O: 0.5668 0.9165 0.2273
O: 0.7392 0.2298 0.5916
O: 0.7392 0.2702 0.0916
O: 0.8428 0.6573 0.5516
O: 0.8428 0.8427 0.0516

Main lines, in order of rising 2θ (2θ = 10–80°):
Position (°2θ)  intensity
17.17  68
19.29  37
21.84  24
27.19  30
27.96  100
29.25  32
29.86  41
30.76  85
33.42  38
43.27  35



[9]
Simulated PXRD pattern
Compound: Ac2Bi4O9
Radiation: Cu Kα, 1.54184 Å
Structure: the GGA-PBE geometry in Alexandria

Atomic structure:
Unit cell a=6.4590 b=6.4590 c=15.8327 alpha=90.34 beta=90.34 gamma=57.16
Fractional coordinates of all 30 atoms:
Ac: 0.0053 0.0114 0.1348
Ac: 0.0114 0.0053 0.6348
Ac: 0.9886 0.9947 0.3652
Ac: 0.9947 0.9886 0.8652
Bi: 0.3202 0.3339 0.4834
Bi: 0.3225 0.3625 0.1943
Bi: 0.3339 0.3202 0.9834
Bi: 0.3625 0.3225 0.6943
Bi: 0.6375 0.6775 0.3057
Bi: 0.6661 0.6798 0.0166
Bi: 0.6775 0.6375 0.8057
Bi: 0.6798 0.6661 0.5166
O: 0.0192 0.7143 0.2466
O: 0.0446 0.6478 0.5636
O: 0.0885 0.3247 0.0811
O: 0.2857 0.9808 0.2534
O: 0.3004 0.6996 0.7500
O: 0.3247 0.0885 0.5811
O: 0.3279 0.5863 0.0872
O: 0.3522 0.9554 0.9364
O: 0.4137 0.6721 0.4128
O: 0.5863 0.3279 0.5872
O: 0.6478 0.0446 0.0636
O: 0.6721 0.4137 0.9128
O: 0.6753 0.9115 0.4189
O: 0.6996 0.3004 0.2500
O: 0.7143 0.0192 0.7466
O: 0.9115 0.6753 0.9189
O: 0.9554 0.3522 0.4364
O: 0.9808 0.2857 0.7534

Main lines, in order of rising 2θ (2θ = 10–80°):
Position (°2θ)  intensity
27.63  100
27.86  59
28.90  32
38.94  13
40.36  26
48.67  20
49.21  12
50.45  17
50.57  13
57.11  9



[10]
Simulated PXRD pattern
Compound: AcPaBiO2
Radiation: Cu Kα, 1.54184 Å
Structure: the GGA-PBE geometry in Alexandria

Atomic structure:
Unit cell a=7.3234 b=7.3234 c=7.3234 alpha=147.75 beta=147.75 gamma=46.25
Fractional coordinates of all 5 atoms:
Ac: 0.0000 0.0000 0.0000
Pa: 0.3045 0.3045 0.0000
Bi: 0.6592 0.6592 0.0000
O: 0.3856 0.8856 0.5000
O: 0.8856 0.3856 0.5000

Main lines, in order of rising 2θ (2θ = 10–80°):
Position (°2θ)  intensity
29.63  100
31.09  42
40.16  12
44.55  20
51.65  20
54.42  39
61.52  13
66.58  7
72.89  10
73.65  8



Number 1 is which compound?
Na2Ac2BiO6